Theoretical powder diffraction line list
Compound: Mg3Ag4Ge
Radiation: Cu Kα X-rays
Structure: DFT lattice parameters and positions (PBE)
Peak positions follow from Bragg's law for the DFT cell and can differ from measured ones.

Top 8 peaks for 10° ≤ 2θ ≤ 90°, in order of rising 2θ:
24.02°, rel. 20; 28.41°, rel. 26; 37.54°, rel. 100; 40.61°, rel. 40; 49.19°, rel. 11; 58.78°, rel. 13; 71.80°, rel. 14; 71.93°, rel. 14

Atomic structure:
Cell lengths 15.4562, 4.4419, 4.4441 Å; angles 90.00, 106.51, 90.00 degrees
Space group C2/m (No. 12)
Symmetry-distinct sites (fractional):
Mg  0.0000  0.0000  0.0000 (multiplicity 2)
Mg  0.2498  0.0000  0.2495 (multiplicity 4)
Ag  0.1260  0.0000  0.6270 (multiplicity 4)
Ag  0.1260  0.5000  0.1265 (multiplicity 4)
Ge  0.0000  0.5000  0.5000 (multiplicity 2)

=====

Theoretical powder diffraction line list
Compound: PrBi3Pb3
Radiation: Cu Kα X-rays
Structure: DFT lattice parameters and positions (PBE)
Peak positions follow from Bragg's law for the DFT cell and can differ from measured ones.

Top 8 peaks for 10° ≤ 2θ ≤ 90°, in order of rising 2θ:
31.52°, rel. 100; 35.10°, rel. 19; 37.02°, rel. 17; 37.50°, rel. 15; 51.94°, rel. 15; 60.73°, rel. 15; 63.30°, rel. 14; 63.94°, rel. 12

Atomic structure:
Cell lengths 9.5941, 10.2276, 9.7136 Å; angles 90.00, 90.00, 90.00 degrees
Space group Cmmm (No. 65)
Symmetry-distinct sites (fractional):
Pr  0.0000  0.2323  0.0000 (multiplicity 4)
Bi  0.0000  0.0000  0.2556 (multiplicity 4)
Bi  0.2500  0.2500  0.2488 (multiplicity 8)
Pb  0.0000  0.2561  0.5000 (multiplicity 4)
Pb  0.2278  0.5000  0.0000 (multiplicity 4)
Pb  0.2400  0.5000  0.5000 (multiplicity 4)

=====

Theoretical powder diffraction line list
Compound: DyAl6Os
Radiation: Cu Kα X-rays
Structure: DFT lattice parameters and positions (PBE)
Peak positions follow from Bragg's law for the DFT cell and can differ from measured ones.

Top 8 peaks for 10° ≤ 2θ ≤ 90°, in order of rising 2θ:
20.19°, rel. 100; 26.58°, rel. 79; 30.69°, rel. 34; 37.01°, rel. 46; 43.35°, rel. 48; 44.16°, rel. 23; 48.82°, rel. 24; 52.11°, rel. 21

Atomic structure:
Cell lengths 5.8264, 5.8264, 17.9562 Å; angles 90.00, 90.00, 120.00 degrees
Space group R-3m (No. 166, hexagonal axes)
Symmetry-distinct sites (fractional):
Dy  0.0000  0.0000  0.0000 (multiplicity 3)
Al  0.0176  0.5088  0.9253 (multiplicity 18)
Os  0.0000  0.0000  0.5000 (multiplicity 3)